1.
Diffraction record for Tl4CO5. The powder diffraction line list is calculated, not measured: it uses a DFT-relaxed cell (GGA-PBE, the Materials Project) and Cu Ka.
Neutral-atom scattering factors, no anomalous dispersion.

Cell and atoms:
Cell lengths 10.948, 12.122, 8.587 Å; angles 90.00, 90.00, 90.00 degrees
Space group Cmc2_1 (No. 36)
Inequivalent atoms, fractional coordinates:
1 Tl 0.000 0.220 0.000
2 Tl 0.000 0.241 0.374
3 Tl 0.247 0.070 0.119
4 C 0.000 0.055 0.779
5 O 0.000 0.027 0.183
6 O 0.103 0.098 0.829
7 O 0.147 0.245 0.156

Principal peaks in the range 2θ from 10° to 90°, in order of falling intensity:
- 21.88 deg, I = 100.0, (2 2 0)
- 26.38 deg, I = 68.8, (2 0 2)
- 17.91 deg, I = 57.9, (0 2 1)
- 25.42 deg, I = 40.6, (0 2 2)
- 35.43 deg, I = 40.0, (2 4 1)
- 15.01 deg, I = 37.1, (1 1 1)

***

2.
Diffraction record for Tl4CO5. The powder diffraction line list is calculated, not measured: it uses a DFT-relaxed cell (GGA-PBE, the Materials Project) and Cu Ka.
Neutral-atom scattering factors, no anomalous dispersion.

Cell and atoms:
Cell lengths 10.199, 12.454, 8.333 Å; angles 90.00, 90.00, 90.00 degrees
Space group Cmc2_1 (No. 36)
Inequivalent atoms, fractional coordinates:
1 Tl 0.000 0.219 0.000
2 Tl 0.000 0.237 0.388
3 Tl 0.242 0.428 0.777
4 C 0.000 0.063 0.597
5 O 0.000 0.024 0.181
6 O 0.110 0.108 0.552
7 O 0.158 0.242 0.225

Principal peaks in the range 2θ from 10° to 90°, in order of falling intensity:
- 22.54 deg, I = 100.0, (2 2 0)
- 27.65 deg, I = 67.8, (2 0 2)
- 17.78 deg, I = 53.0, (0 2 1)
- 35.44 deg, I = 45.1, (2 4 1)
- 24.97 deg, I = 41.5, (2 2 1)
- 25.73 deg, I = 40.5, (0 2 2)

***

3.
Diffraction record for UTl4C3O11. The powder diffraction line list is calculated, not measured: it uses a DFT-relaxed cell (GGA-PBE, the Materials Project) and Cu Ka.
Neutral-atom scattering factors, no anomalous dispersion.

Cell and atoms:
Cell lengths 10.914, 9.515, 13.064 Å; angles 90.00, 94.47, 90.00 degrees
Space group C2/c (No. 15)
Inequivalent atoms, fractional coordinates:
1 U 0.000 0.201 0.250
2 Tl 0.107 0.308 0.554
3 Tl 0.186 0.143 0.851
4 C 0.000 0.495 0.750
5 C 0.114 0.045 0.090
6 O 0.000 0.361 0.750
7 O 0.047 0.430 0.178
8 O 0.062 0.016 0.667
9 O 0.099 0.183 0.088
10 O 0.153 0.200 0.321
11 O 0.172 0.022 0.526

Principal peaks in the range 2θ from 10° to 90°, in order of falling intensity:
- 24.52 deg, I = 100.0, (1 1 3)
- 26.69 deg, I = 76.0, (3 1 -1)
- 26.14 deg, I = 72.5, (2 2 1)
- 32.18 deg, I = 60.7, (1 3 -2)
- 30.89 deg, I = 44.4, (2 0 -4)
- 17.93 deg, I = 40.2, (1 1 -2)

***

4.
Diffraction record for TmCO4. The powder diffraction line list is calculated, not measured: it uses a DFT-relaxed cell (GGA-PBE, the Materials Project) and Cu Ka.
Neutral-atom scattering factors, no anomalous dispersion.

Cell and atoms:
Cell lengths 4.808, 7.006, 8.745 Å; angles 90.00, 90.00, 90.00 degrees
Space group P2_12_12_1 (No. 19)
Inequivalent atoms, fractional coordinates:
1 Tm 0.026 0.127 0.161
2 C 0.008 0.045 0.830
3 O 0.030 0.814 0.143
4 O 0.046 0.445 0.788
5 O 0.180 0.618 0.581
6 O 0.231 0.929 0.368

Principal peaks in the range 2θ from 10° to 90°, in order of falling intensity:
- 21.09 deg, I = 100.0, (1 0 1)
- 16.21 deg, I = 62.6, (0 1 1)
- 31.60 deg, I = 56.5, (1 2 0)
- 27.43 deg, I = 48.3, (0 2 1)
- 24.66 deg, I = 45.8, (1 1 1)
- 38.33 deg, I = 40.3, (1 1 3)

***

5.
Diffraction record for TmCO4. The powder diffraction line list is calculated, not measured: it uses a DFT-relaxed cell (GGA-PBE, the Materials Project) and Cu Ka.
Neutral-atom scattering factors, no anomalous dispersion.

Cell and atoms:
Cell lengths 9.464, 9.464, 7.833 Å; angles 90.00, 90.00, 90.00 degrees
Space group P4_2/nmc (No. 137, origin choice 2)
Inequivalent atoms, fractional coordinates:
1 Tm 0.020 0.520 0.250
2 C 0.001 0.250 0.092
3 O 0.005 0.630 0.987
4 O 0.008 0.750 0.292
5 O 0.012 0.250 0.256

Principal peaks in the range 2θ from 10° to 90°, in order of falling intensity:
- 18.75 deg, I = 100.0, (2 0 0)
- 29.61 deg, I = 43.6, (2 0 2)
- 22.70 deg, I = 25.5, (0 0 2)
- 48.92 deg, I = 25.4, (4 2 2)
- 35.28 deg, I = 22.7, (2 2 2)
- 44.75 deg, I = 19.3, (4 0 2)

***

6.
Diffraction record for UCO6. The powder diffraction line list is calculated, not measured: it uses a DFT-relaxed cell (GGA-PBE, the Materials Project) and Cu Ka.
Neutral-atom scattering factors, no anomalous dispersion.

Cell and atoms:
Cell lengths 13.754, 8.477, 10.707 Å; angles 90.00, 93.23, 90.00 degrees
Space group C2/c (No. 15)
Inequivalent atoms, fractional coordinates:
1 U 0.247 0.046 0.253
2 C 0.024 0.318 0.458
3 O 0.047 0.335 0.106
4 O 0.096 0.303 0.522
5 O 0.124 0.010 0.181
6 O 0.137 0.413 0.816
7 O 0.194 0.026 0.896
8 O 0.238 0.281 0.276

Principal peaks in the range 2θ from 10° to 90°, in order of falling intensity:
- 12.89 deg, I = 100.0, (2 0 0)
- 16.59 deg, I = 59.3, (0 0 2)
- 20.47 deg, I = 48.9, (2 0 -2)
- 21.64 deg, I = 41.7, (2 0 2)
- 24.68 deg, I = 38.6, (2 2 0)
- 26.85 deg, I = 32.0, (0 2 2)

***

7.
Diffraction record for UC4O10. The powder diffraction line list is calculated, not measured: it uses a DFT-relaxed cell (GGA-PBE, the Materials Project) and Cu Ka.
Neutral-atom scattering factors, no anomalous dispersion.

Cell and atoms:
Cell lengths 9.411, 9.442, 10.524 Å; angles 90.00, 90.00, 90.00 degrees
Space group Ccce (No. 68, origin choice 2)
Inequivalent atoms, fractional coordinates:
1 U 0.000 0.250 0.250
2 C 0.196 0.176 0.546
3 O 0.000 0.062 0.250
4 O 0.098 0.140 0.479
5 O 0.244 0.157 0.147

Principal peaks in the range 2θ from 10° to 90°, in order of falling intensity:
- 15.74 deg, I = 100.0, (1 1 1)
- 31.19 deg, I = 31.4, (3 1 1)
- 18.81 deg, I = 29.4, (0 2 0)
- 25.38 deg, I = 25.6, (2 0 2)
- 28.76 deg, I = 22.0, (1 1 3)
- 39.68 deg, I = 16.5, (3 1 3)